This entry pairs a crystal structure of Sr2NdSmMn4O12 with its theoretical X-ray diffraction stick pattern. Radiation: a wavelength of 1.5418 Å. Structure: a GGA+U-relaxed structure.

Structural model:
```
data_Sr2NdSmMn4O12
_space_group_name_H-M_alt 'C 1 m 1'
_space_group_IT_number 8
_cell_length_a 7.808
_cell_length_b 7.755
_cell_length_c 7.818
_cell_angle_alpha 90.00
_cell_angle_beta 90.59
_cell_angle_gamma 90.00
loop_
_space_group_symop_operation_xyz
'x,y,z'
'x,-y,z'
'x+1/2,y+1/2,z'
'x+1/2,-y+1/2,z'
loop_
_atom_site_label
_atom_site_type_symbol
_atom_site_fract_x
_atom_site_fract_y
_atom_site_fract_z
_atom_site_occupancy
Sr1 Sr 0.000 0.000 0.000 1
Sr2 Sr 0.000 0.500 0.499 1
Nd1 Nd 0.491 0.500 0.504 1
Sm1 Sm 0.485 0.000 0.003 1
Mn1 Mn 0.249 0.250 0.250 1
Mn2 Mn 0.249 0.250 0.752 1
O1 O 0.000 0.206 0.742 1
O2 O 0.001 0.296 0.238 1
O3 O 0.202 0.500 0.792 1
O4 O 0.205 0.000 0.287 1
O5 O 0.257 0.282 0.501 1
O6 O 0.260 0.215 0.001 1
O7 O 0.289 0.000 0.734 1
O8 O 0.291 0.500 0.234 1
```

Main lines, in order of rising 2θ (2θ = 10–90°):
| d (Å) | 2theta | I/Imax | h k l |
| --- | --- | --- | --- |
| 2.776 | 32.24 | 19 | 2 0 -2 |
| 2.751 | 32.55 | 100 | 2 2 0 |
| 2.242 | 40.22 | 10 | 2 2 2 |
| 1.953 | 46.50 | 26 | 0 0 4 |
| 1.939 | 46.86 | 12 | 0 4 0 |
| 1.598 | 57.68 | 17 | 2 2 -4 |
| 1.589 | 58.06 | 16 | 2 4 -2 |
| 1.376 | 68.15 | 13 | 0 4 4 |